Structure and simulated powder X-ray diffraction pattern of Zr3Cu8 (a crystal structure in OQMD, relaxed with PBE; Cu Kα X-rays).

Peak list (6 most intense, 5 to 70 degrees two-theta, low angle first)
Position (°2θ)  I/Imax  h k l
38.9  37  3 0 2
39.5  100  1 3 2
40.4  45  2 3 0
42.0  92  3 2 1
42.5  55  0 2 4
44.5  75  0 4 0

Structure:
```
data_Zr3Cu8
_space_group_name_H-M_alt 'P n m a'
_space_group_IT_number 62
_cell_length_a 7.8559
_cell_length_b 8.1420
_cell_length_c 9.9634
_cell_angle_alpha 90.00
_cell_angle_beta 90.00
_cell_angle_gamma 90.00
loop_
_space_group_symop_operation_xyz
'x,y,z'
'-x,-y,-z'
'-x+1/2,-y,z+1/2'
'x+1/2,y,-z+1/2'
'x+1/2,-y+1/2,-z+1/2'
'-x+1/2,y+1/2,z+1/2'
'-x,y+1/2,-z'
'x,-y+1/2,z'
loop_
_atom_site_label
_atom_site_fract_x
_atom_site_fract_y
_atom_site_fract_z
_atom_site_occupancy
Zr1 0.0394 0.2500 0.0467 1
Zr2 0.0624 0.5536 0.6398 1
Cu1 0.1169 0.7500 0.4025 1
Cu2 0.1209 0.5765 0.1600 1
Cu3 0.1308 0.2500 0.7651 1
Cu4 0.1773 0.2500 0.5171 1
Cu5 0.1991 0.5008 0.9060 1
Cu6 0.2150 0.2500 0.2737 1
```